No. 1
Starting from the GGA-PBE geometry in Alexandria, the powder diffractogram of CaTlSnHIr was calculated for a wavelength of 1.5418 Å.

Structure:
```
CaTlSnHIr
1.0
2.228 1.286 5.928
-2.228 1.286 5.928
0.000 -2.572 5.928
Ca Tl Sn H Ir
1 1 1 1 1
Cartesian
0.000 0.000 0.000
0.000 0.000 13.914
0.000 0.000 4.002
0.000 0.000 5.954
0.000 0.000 9.294
```

Peak list (10 most intense, 2θ from 10° to 90°, most intense first)
d (Å), 2θ (°), I/Imax
2.914, 30.7, 100.0
5.928, 14.9, 71.6
2.228, 40.5, 65.8
2.085, 43.4, 32.1
2.122, 42.6, 31.7
1.770, 51.6, 23.6
1.386, 67.6, 21.2
2.615, 34.3, 14.9
3.771, 23.6, 14.9
1.265, 75.1, 12.6


No. 2
Starting from the GGA-PBE geometry in Alexandria, the powder diffractogram of CuBSO was calculated for a wavelength of 1.5418 Å.

Structure:
```
CuBSO
1.0
3.287 0.000 0.000
0.000 3.287 0.000
0.000 0.000 8.727
Cu B S O
2 2 2 2
Cartesian
0.822 2.465 0.000
2.465 0.822 0.000
0.822 0.822 3.872
2.465 2.465 4.854
0.822 0.822 7.116
2.465 2.465 1.611
0.822 2.465 4.363
2.465 0.822 4.363
```

Peak list (10 most intense, 2θ from 10° to 90°, most intense first)
d (Å), 2θ (°), I/Imax
8.727, 10.1, 100.0
2.051, 44.1, 37.4
4.363, 20.4, 35.9
1.816, 50.2, 20.3
1.643, 55.9, 12.8
2.246, 40.2, 11.0
1.591, 58.0, 11.0
3.076, 29.0, 9.4
2.181, 41.4, 9.2
2.625, 34.2, 6.7


No. 3
Starting from the GGA-PBE geometry in Alexandria, the powder diffractogram of SrLi6Ge4 was calculated for a wavelength of 1.5418 Å.

Structure:
```
SrLi6Ge4
1.0
-3.455 3.455 4.787
3.455 -3.455 4.787
3.455 3.455 -4.787
Sr Li Ge
1 6 4
Cartesian
0.000 0.000 0.000
3.455 0.000 0.000
1.307 -1.307 2.864
-1.307 1.307 2.864
0.000 3.455 0.000
2.148 2.148 1.922
1.307 1.307 6.709
2.296 2.296 -0.686
1.159 -1.159 5.472
1.159 1.159 4.101
-1.159 1.159 5.472
```

Peak list (10 most intense, 2θ from 10° to 90°, most intense first)
d (Å), 2θ (°), I/Imax
2.941, 30.4, 100.0
3.419, 26.1, 98.3
2.239, 40.3, 95.2
4.787, 18.5, 94.3
2.220, 40.6, 86.1
4.886, 18.2, 64.9
2.149, 42.0, 38.3
1.628, 56.5, 37.3
2.176, 41.5, 31.2
1.484, 62.6, 25.2